1.
This entry pairs a crystal structure of Ti2NiP3O12 with its computed XRD peak list. Radiation: Cu Kα X-rays. Structure: a crystal structure in the Materials Project, relaxed with GGA+U.
Neutral-atom scattering factors, no anomalous dispersion.

Most intense lines, 10° ≤ 2θ ≤ 90°, sorted by position:
20.69°, 4.293 Å, I 74, (1 1 0)
24.45°, 3.640 Å, I 100, (1 1 3)
25.47°, 3.497 Å, I 21, (2 0 2)
32.15°, 2.784 Å, I 15, (2 1 1)
33.42°, 2.681 Å, I 66, (1 1 6)
36.25°, 2.478 Å, I 33, (3 0 0)
47.91°, 1.899 Å, I 30, (1 2 8)
50.12°, 1.820 Å, I 25, (2 2 6)
56.74°, 1.622 Å, I 20, (4 1 0)
57.23°, 1.610 Å, I 15, (3 1 8)
63.41°, 1.467 Å, I 19, (4 1 6)
76.95°, 1.239 Å, I 10, (6 0 0)

Structure:
Cell: 8.5850 8.5850 20.6024 Å, 90.00 90.00 120.00°
Space group R-3c (No. 167, hexagonal axes)
Symmetry-distinct sites (fractional):
Ti (0.0000, 0.0000, 0.1437)
Ni (0.0000, 0.0000, 0.0000)
P (0.0000, 0.2953, 0.2500)
O (0.0075, 0.1967, 0.3110)
O (0.0179, 0.1819, 0.9248)

=====

2.
This entry pairs a crystal structure of TiNi5P6O24 with its computed XRD peak list. Radiation: Cu Kα X-rays. Structure: a crystal structure in the Materials Project, relaxed with GGA+U.
Neutral-atom scattering factors, no anomalous dispersion.

Most intense lines, 10° ≤ 2θ ≤ 90°, sorted by position:
20.60°, 4.311 Å, I 97, (1 1 0)
24.35°, 3.656 Å, I 100, (2 -1 3)
25.36°, 3.512 Å, I 19, (2 0 2)
32.01°, 2.796 Å, I 15, (3 -1 1)
33.27°, 2.693 Å, I 74, (1 1 6)
36.09°, 2.489 Å, I 45, (3 0 0)
42.52°, 2.126 Å, I 13, (2 0 8)
47.70°, 1.907 Å, I 37, (3 -2 8)
49.89°, 1.828 Å, I 29, (2 2 6)
56.47°, 1.629 Å, I 26, (4 1 0)
56.97°, 1.617 Å, I 18, (4 -1 8)
63.11°, 1.473 Å, I 22, (4 1 6)

Structure:
Cell: 8.6222 8.6222 20.6894 Å, 90.00 90.00 120.00°
Space group R3 (No. 146, hexagonal axes)
Symmetry-distinct sites (fractional):
Ti (0.0000, 0.0000, 0.0000)
Ni (0.0000, 0.0000, 0.1464)
Ni (0.0000, 0.0000, 0.2881)
Ni (0.0000, 0.0000, 0.5053)
Ni (0.0000, 0.0000, 0.6465)
Ni (0.0000, 0.0000, 0.7878)
P (0.9995, 0.2974, 0.8950)
P (0.0012, 0.7040, 0.3961)
O (0.0087, 0.8017, 0.4581)
O (0.0127, 0.8353, 0.0693)
O (0.0147, 0.1833, 0.5753)
O (0.0154, 0.1942, 0.9541)
O (0.1368, 0.6712, 0.0016)
O (0.1387, 0.4559, 0.4996)
O (0.1653, 0.6770, 0.3860)
O (0.1695, 0.4838, 0.8861)

=====

3.
This entry pairs a crystal structure of Ti3VNi2P6O24 with its computed XRD peak list. Radiation: Cu Kα X-rays. Structure: a crystal structure in the Materials Project, relaxed with GGA+U.
Neutral-atom scattering factors, no anomalous dispersion.

Most intense lines, 10° ≤ 2θ ≤ 90°, sorted by position:
20.55°, 4.322 Å, I 73, (1 1 0)
24.30°, 3.663 Å, I 100, (1 1 3)
25.30°, 3.520 Å, I 20, (2 0 2)
31.93°, 2.803 Å, I 15, (2 1 1)
33.21°, 2.698 Å, I 66, (1 1 6)
36.00°, 2.495 Å, I 34, (3 0 0)
47.60°, 1.910 Å, I 30, (1 2 8)
49.78°, 1.832 Å, I 25, (2 2 6)
56.33°, 1.633 Å, I 20, (1 4 0)
56.84°, 1.620 Å, I 15, (3 1 8)
62.95°, 1.477 Å, I 18, (4 1 6)
76.34°, 1.248 Å, I 10, (6 0 0)

Structure:
Cell: 8.6430 8.6430 20.7177 Å, 90.00 90.00 120.00°
Space group R3 (No. 146, hexagonal axes)
Symmetry-distinct sites (fractional):
Ti (0.0000, 0.0000, 0.0000)
Ti (0.0000, 0.0000, 0.2118)
Ti (0.0000, 0.0000, 0.7100)
V (0.0000, 0.0000, 0.4962)
Ni (0.0000, 0.0000, 0.3558)
Ni (0.0000, 0.0000, 0.8562)
P (0.9997, 0.2961, 0.6047)
P (0.0384, 0.6681, 0.7717)
O (0.0058, 0.1940, 0.6659)
O (0.0057, 0.8118, 0.1657)
O (0.0158, 0.1806, 0.2808)
O (0.0209, 0.8381, 0.7802)
O (0.1335, 0.4623, 0.2107)
O (0.1518, 0.6808, 0.7122)
O (0.1634, 0.6840, 0.0941)
O (0.1673, 0.4883, 0.6000)

=====

4.
This entry pairs a crystal structure of Ti3V2NiP6O24 with its computed XRD peak list. Radiation: Cu Kα X-rays. Structure: a crystal structure in the Materials Project, relaxed with GGA+U.
Neutral-atom scattering factors, no anomalous dispersion.

Most intense lines, 10° ≤ 2θ ≤ 90°, sorted by position:
20.52°, 4.328 Å, I 66, (1 1 0)
20.81°, 4.268 Å, I 10, (1 0 4)
24.25°, 3.670 Å, I 100, (1 1 3)
25.26°, 3.526 Å, I 14, (2 0 2)
31.87°, 2.808 Å, I 15, (2 1 1)
33.14°, 2.703 Å, I 59, (1 1 6)
35.94°, 2.499 Å, I 30, (3 0 0)
47.51°, 1.914 Å, I 26, (3 -2 8)
49.69°, 1.835 Å, I 22, (4 -2 6)
56.23°, 1.636 Å, I 19, (4 1 0)
56.73°, 1.623 Å, I 13, (4 -1 8)
62.83°, 1.479 Å, I 15, (4 1 6)

Structure:
Cell: 8.6568 8.6568 20.7634 Å, 90.00 90.00 120.00°
Space group R3 (No. 146, hexagonal axes)
Symmetry-distinct sites (fractional):
Ti (0.0000, 0.0000, 0.0000)
Ti (0.0000, 0.0000, 0.2126)
Ti (0.0000, 0.0000, 0.5031)
V (0.0000, 0.0000, 0.3564)
V (0.0000, 0.0000, 0.8569)
Ni (0.0000, 0.0000, 0.7163)
P (0.9997, 0.2926, 0.6099)
P (0.0010, 0.7068, 0.1073)
O (0.0017, 0.2030, 0.6710)
O (0.0116, 0.1796, 0.2779)
O (0.0195, 0.8238, 0.1666)
O (0.0212, 0.8302, 0.7846)
O (0.1463, 0.6712, 0.7132)
O (0.1486, 0.4763, 0.2151)
O (0.1680, 0.4825, 0.6002)
O (0.1707, 0.6882, 0.1004)